1.
Starting from the PBE geometry in Alexandria, the PXRD pattern of Nd2C3 was simulated for λ = 1.5418 Å (Cu Kα).

Principal peaks in the range 5 to 70 degrees two-theta, low angle first:
Position (°2θ)  d [Å]  I_rel
25.32  3.518  46
29.31  3.047  93
32.87  2.725  100
39.11  2.303  52
54.28  1.690  66
58.68  1.573  27

Structure:
Cell lengths 7.4630, 7.4630, 7.4630 Å; angles 109.47, 109.47, 109.47 degrees
Fractional coordinates of all 20 atoms:
Nd  0.0000  0.1031  0.5000
Nd  0.0000  0.6031  0.5000
Nd  0.1031  0.5000  0.0000
Nd  0.3969  0.3969  0.3969
Nd  0.5000  0.0000  0.1031
Nd  0.5000  0.0000  0.6031
Nd  0.6031  0.5000  0.0000
Nd  0.8969  0.8969  0.8969
C  0.0478  0.7978  0.2500
C  0.2022  0.9522  0.2500
C  0.2500  0.0478  0.7978
C  0.2500  0.2022  0.9522
C  0.2978  0.5478  0.7500
C  0.4522  0.7022  0.7500
C  0.5478  0.7500  0.2978
C  0.7022  0.7500  0.4522
C  0.7500  0.2978  0.5478
C  0.7500  0.4522  0.7022
C  0.7978  0.2500  0.0478
C  0.9522  0.2500  0.2022



2.
Starting from the PBE geometry in Alexandria, the PXRD pattern of Nd2C was simulated for λ = 1.5418 Å (Cu Kα).

Principal peaks in the range 5 to 70 degrees two-theta, low angle first:
Position (°2θ)  d [Å]  I_rel
13.27  6.670  22
26.73  3.335  38
28.73  3.107  49
31.03  2.882  100
34.57  2.595  41
49.94  1.826  43

Structure:
Cell lengths 3.6891, 3.6891, 13.3404 Å; angles 90.00, 90.00, 119.99 degrees
Fractional coordinates of all 6 atoms:
Nd  0.1646  0.8354  0.8939
Nd  0.3354  0.6646  0.3939
Nd  0.6646  0.3354  0.6061
Nd  0.8354  0.1646  0.1061
C  0.0000  0.0000  0.5000
C  0.5000  0.5000  0.0000



3.
Starting from the PBE geometry in Alexandria, the PXRD pattern of NdC2 was simulated for λ = 1.5418 Å (Cu Kα).

Principal peaks in the range 5 to 70 degrees two-theta, low angle first:
Position (°2θ)  d [Å]  I_rel
26.34  3.384  49
26.46  3.368  85
27.85  3.203  42
29.94  2.985  100
33.11  2.706  47
44.23  2.048  48

Structure:
Cell lengths 3.9549, 3.9549, 7.0118 Å; angles 102.66, 102.66, 65.91 degrees
Fractional coordinates of all 6 atoms:
Nd  0.1950  0.8050  0.7500
Nd  0.8050  0.1950  0.2500
C  0.1623  0.4290  0.0518
C  0.4290  0.1623  0.5518
C  0.5710  0.8377  0.4482
C  0.8377  0.5710  0.9482



4.
Starting from the PBE geometry in Alexandria, the PXRD pattern of NdNi6C was simulated for λ = 1.5418 Å (Cu Kα).

Principal peaks in the range 5 to 70 degrees two-theta, low angle first:
Position (°2θ)  d [Å]  I_rel
33.55  2.671  55
39.43  2.285  32
40.11  2.248  23
40.44  2.230  100
42.21  2.141  41
54.43  1.686  29

Structure:
Cell lengths 5.3456, 5.3456, 5.3456 Å; angles 58.52, 58.52, 58.52 degrees
Fractional coordinates of all 8 atoms:
Nd  0.0000  0.0000  0.0000
Ni  0.0734  0.5996  0.5996
Ni  0.4004  0.4004  0.9266
Ni  0.4004  0.9266  0.4004
Ni  0.5996  0.0734  0.5996
Ni  0.5996  0.5996  0.0734
Ni  0.9266  0.4004  0.4004
C  0.5000  0.5000  0.5000



5.
Starting from the PBE geometry in Alexandria, the PXRD pattern of Nd2Ni3C2 was simulated for λ = 1.5418 Å (Cu Kα).

Principal peaks in the range 5 to 70 degrees two-theta, low angle first:
Position (°2θ)  d [Å]  I_rel
29.10  3.069  44
30.26  2.953  49
33.48  2.676  54
37.68  2.387  100
38.08  2.363  38
39.39  2.288  37

Structure:
Cell lengths 5.1897, 5.1897, 6.4001 Å; angles 113.68, 113.68, 39.78 degrees
Fractional coordinates of all 7 atoms:
Nd  0.1211  0.1211  0.2833
Nd  0.8789  0.8789  0.7167
Ni  0.3371  0.3371  0.0950
Ni  0.5000  0.5000  0.5000
Ni  0.6629  0.6629  0.9050
C  0.1767  0.1767  0.7661
C  0.8233  0.8233  0.2339



6.
Starting from the PBE geometry in Alexandria, the PXRD pattern of Nd2NiC4 was simulated for λ = 1.5418 Å (Cu Kα).

Principal peaks in the range 5 to 70 degrees two-theta, low angle first:
Position (°2θ)  d [Å]  I_rel
27.01  3.301  100
28.67  3.114  39
30.54  2.927  57
37.01  2.429  29
49.60  1.838  26
57.53  1.602  31

Structure:
Cell lengths 6.8809, 6.8809, 6.8809 Å; angles 113.96, 83.49, 135.01 degrees
Fractional coordinates of all 14 atoms:
Nd  0.1432  0.1708  0.3140
Nd  0.3568  0.6708  0.0276
Nd  0.6432  0.3292  0.9724
Nd  0.8568  0.8292  0.6860
Ni  0.2500  0.7500  0.5000
Ni  0.7500  0.2500  0.5000
C  0.0827  0.6682  0.7509
C  0.1229  0.8381  0.9610
C  0.3771  0.3381  0.7152
C  0.4173  0.1682  0.5855
C  0.5827  0.8318  0.4145
C  0.6229  0.6619  0.2848
C  0.8771  0.1619  0.0390
C  0.9173  0.3318  0.2491



7.
Starting from the PBE geometry in Alexandria, the PXRD pattern of Nd2CO was simulated for λ = 1.5418 Å (Cu Kα).

Principal peaks in the range 5 to 70 degrees two-theta, low angle first:
Position (°2θ)  d [Å]  I_rel
29.58  3.020  100
29.79  2.999  33
34.34  2.611  100
49.22  1.851  35
49.50  1.842  35
58.60  1.575  30

Structure:
Cell lengths 6.3682, 6.3682, 6.3682 Å; angles 33.80, 33.80, 33.80 degrees
Fractional coordinates of all 4 atoms:
Nd  0.2486  0.2486  0.2486
Nd  0.7514  0.7514  0.7514
C  0.5000  0.5000  0.5000
O  0.0000  0.0000  0.0000



8.
Starting from the PBE geometry in Alexandria, the PXRD pattern of Nd8C3O4 was simulated for λ = 1.5418 Å (Cu Kα).

Principal peaks in the range 5 to 70 degrees two-theta, low angle first:
Position (°2θ)  d [Å]  I_rel
27.81  3.208  35
29.74  3.004  100
33.92  2.642  82
47.49  1.915  31
49.96  1.826  31
58.14  1.587  28

Structure:
Cell lengths 7.6770, 7.6770, 7.6770 Å; angles 56.79, 56.79, 56.79 degrees
Fractional coordinates of all 15 atoms:
Nd  0.2402  0.2402  0.2402
Nd  0.2431  0.7441  0.7441
Nd  0.2559  0.2559  0.7569
Nd  0.2559  0.7569  0.2559
Nd  0.7441  0.2431  0.7441
Nd  0.7441  0.7441  0.2431
Nd  0.7569  0.2559  0.2559
Nd  0.7598  0.7598  0.7598
C  0.0000  0.0000  0.5000
C  0.0000  0.5000  0.0000
C  0.5000  0.0000  0.0000
O  0.0000  0.0000  0.0000
O  0.3595  0.3595  0.3595
O  0.5000  0.5000  0.5000
O  0.6405  0.6405  0.6405



9.
Starting from the PBE geometry in Alexandria, the PXRD pattern of PmNdCO was simulated for λ = 1.5418 Å (Cu Kα).

Principal peaks in the range 5 to 70 degrees two-theta, low angle first:
Position (°2θ)  d [Å]  I_rel
29.73  3.005  100
29.94  2.985  33
34.52  2.598  99
49.49  1.842  35
49.76  1.832  34
58.92  1.567  30

Structure:
Cell lengths 6.3370, 6.3370, 6.3370 Å; angles 33.79, 33.79, 33.79 degrees
Fractional coordinates of all 4 atoms:
Pm  0.0000  0.0000  0.0000
Nd  0.4969  0.4969  0.4969
C  0.7482  0.7482  0.7482
O  0.2502  0.2502  0.2502



10.
Starting from the PBE geometry in Alexandria, the PXRD pattern of NdSmCO was simulated for λ = 1.5418 Å (Cu Kα).

Principal peaks in the range 5 to 70 degrees two-theta, low angle first:
Position (°2θ)  d [Å]  I_rel
29.84  2.995  100
30.02  2.976  33
34.64  2.589  99
49.68  1.835  35
49.92  1.827  34
59.14  1.562  30

Structure:
Cell lengths 6.3187, 6.3187, 6.3187 Å; angles 33.77, 33.77, 33.77 degrees
Fractional coordinates of all 4 atoms:
Nd  0.0000  0.0000  0.0000
Sm  0.5034  0.5034  0.5034
C  0.2512  0.2512  0.2512
O  0.7545  0.7545  0.7545



11.
Starting from the PBE geometry in Alexandria, the PXRD pattern of TbNdCO was simulated for λ = 1.5418 Å (Cu Kα).

Principal peaks in the range 5 to 70 degrees two-theta, low angle first:
Position (°2θ)  d [Å]  I_rel
27.57  3.235  61
28.60  3.121  52
29.20  3.059  53
34.62  2.591  37
35.47  2.531  40
41.54  2.174  100

Structure:
Cell lengths 6.5454, 6.5454, 6.5454 Å; angles 151.45, 150.30, 41.66 degrees
Fractional coordinates of all 4 atoms:
Tb  0.0000  0.0000  0.0000
Nd  0.2490  0.7490  0.5000
C  0.5900  0.5900  0.0000
O  0.8415  0.3415  0.5000



12.
Starting from the PBE geometry in Alexandria, the PXRD pattern of NdTlC2O6 was simulated for λ = 1.5418 Å (Cu Kα).

Principal peaks in the range 5 to 70 degrees two-theta, low angle first:
Position (°2θ)  d [Å]  I_rel
21.39  4.154  47
22.30  3.987  78
26.06  3.419  59
27.47  3.247  100
34.37  2.610  41
41.77  2.163  45

Structure:
Cell lengths 6.6383, 6.6383, 7.3578 Å; angles 104.39, 104.39, 95.36 degrees
Fractional coordinates of all 20 atoms:
Nd  0.0980  0.9020  0.7500
Nd  0.9020  0.0980  0.2500
Tl  0.3858  0.6142  0.2500
Tl  0.6142  0.3858  0.7500
C  0.1073  0.3521  0.7515
C  0.3521  0.1073  0.2515
C  0.6479  0.8927  0.7485
C  0.8927  0.6479  0.2485
O  0.0265  0.7972  0.3930
O  0.1027  0.5471  0.7659
O  0.2028  0.9735  0.1070
O  0.2396  0.2880  0.8789
O  0.2880  0.2396  0.3789
O  0.4529  0.8973  0.7341
O  0.5471  0.1027  0.2659
O  0.7120  0.7604  0.6211
O  0.7604  0.7120  0.1211
O  0.7972  0.0265  0.8930
O  0.8973  0.4529  0.2341
O  0.9735  0.2028  0.6070



13.
Starting from the PBE geometry in Alexandria, the PXRD pattern of NdZn3C4O12 was simulated for λ = 1.5418 Å (Cu Kα).

Principal peaks in the range 5 to 70 degrees two-theta, low angle first:
Position (°2θ)  d [Å]  I_rel
23.82  3.736  60
30.21  2.958  18
30.48  2.933  100
37.11  2.422  26
49.47  1.842  23
50.32  1.813  28

Structure:
Cell lengths 6.2269, 6.2269, 6.2269 Å; angles 102.17, 102.17, 102.17 degrees
Fractional coordinates of all 20 atoms:
Nd  0.0000  0.0000  0.0000
Zn  0.0000  0.5415  0.4585
Zn  0.4585  0.0000  0.5415
Zn  0.5415  0.4585  0.0000
C  0.0460  0.5000  0.9540
C  0.5000  0.5000  0.5000
C  0.5000  0.9540  0.0460
C  0.9540  0.0460  0.5000
O  0.0399  0.6318  0.8163
O  0.0883  0.9117  0.5000
O  0.1837  0.3682  0.9601
O  0.3649  0.6351  0.5000
O  0.3682  0.9601  0.1837
O  0.5000  0.0883  0.9117
O  0.5000  0.3649  0.6351
O  0.6318  0.8163  0.0399
O  0.6351  0.5000  0.3649
O  0.8163  0.0399  0.6318
O  0.9117  0.5000  0.0883
O  0.9601  0.1837  0.3682



14.
Starting from the PBE geometry in Alexandria, the PXRD pattern of Nd2OsC2 was simulated for λ = 1.5418 Å (Cu Kα).

Principal peaks in the range 5 to 70 degrees two-theta, low angle first:
Position (°2θ)  d [Å]  I_rel
31.41  2.848  100
32.10  2.789  90
32.98  2.716  26
33.27  2.693  29
33.54  2.672  69
60.53  1.530  28

Structure:
Cell lengths 6.3187, 6.3187, 6.9381 Å; angles 117.90, 117.90, 50.03 degrees
Fractional coordinates of all 10 atoms:
Nd  0.0374  0.0374  0.2851
Nd  0.3175  0.3175  0.8761
Nd  0.6825  0.6825  0.1239
Nd  0.9626  0.9626  0.7149
Os  0.3653  0.3653  0.3661
Os  0.6347  0.6347  0.6339
C  0.1812  0.1812  0.1054
C  0.4899  0.4899  0.7121
C  0.5101  0.5101  0.2879
C  0.8188  0.8188  0.8946